VPO7: calculated X-ray powder pattern (Cu Kα), based on DFT lattice parameters and positions (GGA+U).
Neutral-atom scattering factors, no anomalous dispersion.

Peak list (10 most intense, 2θ = 10–90°, in order of falling intensity)
- 26.96°, rel. 100.0, hkl 1 1 2
- 11.86°, rel. 89.6, hkl 1 0 0
- 13.80°, rel. 61.1, hkl 0 1 1
- 25.28°, rel. 48.7, hkl 2 0 -2
- 27.37°, rel. 33.1, hkl 2 1 -2
- 20.70°, rel. 29.1, hkl 0 2 0
- 22.67°, rel. 26.2, hkl 0 2 1
- 20.00°, rel. 25.9, hkl 1 1 1
- 18.57°, rel. 20.7, hkl 1 0 -2
- 35.18°, rel. 19.2, hkl 2 2 1

```
data_VPO7
_symmetry_space_group_name_H-M 'P 1 21/c 1'
_symmetry_Int_Tables_number 14
_cell_length_a 7.844
_cell_length_b 8.583
_cell_length_c 10.147
_cell_angle_alpha 90.00
_cell_angle_beta 107.88
_cell_angle_gamma 90.00
loop_
_symmetry_equiv_pos_as_xyz
'x,y,z'
'-x,-y,-z'
'-x,y+1/2,-z+1/2'
'x,-y+1/2,z+1/2'
loop_
_atom_site_label
_atom_site_type_symbol
_atom_site_fract_x
_atom_site_fract_y
_atom_site_fract_z
V1 V 0.011 0.180 0.337
P1 P 0.225 0.649 0.942
O1 O 0.110 0.719 0.343
O2 O 0.124 0.169 0.903
O3 O 0.146 0.641 0.069
O4 O 0.153 0.008 0.361
O5 O 0.362 0.195 0.200
O6 O 0.418 0.675 0.982
O7 O 0.428 0.069 0.182
```